Record 1
# Na2Zn2Ag5Ge
Calculated powder diffraction line list, Cu Kα X-rays. Input: a structure optimized by DFT (PBE).

Cell and atoms:
Lattice parameters (Å, degrees): 10.7140 10.7140 3.4477 90.00 90.00 90.00
Sites, in units of the cell vectors:
Na 0.1730 0.3270 0.0000
Na 0.3270 0.8270 0.0000
Na 0.6730 0.1730 0.0000
Na 0.8270 0.6730 0.0000
Zn 0.1288 0.6288 0.0000
Zn 0.3712 0.1288 0.0000
Zn 0.6288 0.8712 0.0000
Zn 0.8712 0.3712 0.0000
Ag 0.0000 0.5000 0.5000
Ag 0.0628 0.8061 0.5000
Ag 0.1939 0.0628 0.5000
Ag 0.3061 0.5628 0.5000
Ag 0.4372 0.3061 0.5000
Ag 0.5000 0.0000 0.5000
Ag 0.5628 0.6939 0.5000
Ag 0.6939 0.4372 0.5000
Ag 0.8061 0.9372 0.5000
Ag 0.9372 0.1939 0.5000
Ge 0.0000 0.0000 0.0000
Ge 0.5000 0.5000 0.0000

Peak list (10 most intense, 10 to 80 degrees two-theta, in order of falling intensity)
2theta	Rel. int.
37.21	100
40.06	41
18.52	40
34.52	35
43.62	23
16.55	20
53.13	17
25.84	15
35.20	15
35.55	15


Record 2
# Nd2Ag3Ge2
Calculated powder diffraction line list, Cu Kα X-rays. Input: a structure optimized by DFT (PBE).

Cell and atoms:
Lattice parameters (Å, degrees): 10.1358 10.1358 4.1861 90.00 90.00 158.03
Sites, in units of the cell vectors:
Nd 0.1633 0.8367 0.0000
Nd 0.8367 0.1633 0.0000
Ag 0.0000 0.0000 0.0000
Ag 0.4324 0.5676 0.5000
Ag 0.5676 0.4324 0.5000
Ge 0.2912 0.7088 0.5000
Ge 0.7088 0.2912 0.5000

Peak list (10 most intense, 10 to 80 degrees two-theta, in order of falling intensity)
2theta	Rel. int.
31.84	100
34.50	54
39.35	48
59.87	27
43.22	25
59.63	22
47.05	20
38.97	15
34.36	15
65.79	14


Record 3
# Nd2AgGe
Calculated powder diffraction line list, Cu Kα X-rays. Input: a structure optimized by DFT (PBE).

Cell and atoms:
Lattice parameters (Å, degrees): 6.2177 4.5081 8.1510 90.00 110.98 90.00
Sites, in units of the cell vectors:
Nd 0.2067 0.2500 0.4232
Nd 0.2209 0.2500 0.9316
Nd 0.7791 0.7500 0.0684
Nd 0.7933 0.7500 0.5768
Ag 0.3557 0.7500 0.2166
Ag 0.6443 0.2500 0.7834
Ge 0.3264 0.7500 0.7079
Ge 0.6736 0.2500 0.2921

Peak list (10 most intense, 10 to 80 degrees two-theta, in order of falling intensity)
2theta	Rel. int.
30.77	100
30.38	68
37.31	39
40.00	37
36.83	36
38.22	34
44.48	27
31.36	23
32.42	23
61.35	20


Record 4
# NdPaAgGe
Calculated powder diffraction line list, Cu Kα X-rays. Input: a structure optimized by DFT (PBE).

Cell and atoms:
Lattice parameters (Å, degrees): 5.1728 5.1728 5.1728 60.00 60.00 60.00
Sites, in units of the cell vectors:
Nd 0.0000 0.0000 0.0000
Pa 0.5000 0.5000 0.5000
Ag 0.2500 0.2500 0.2500
Ge 0.7500 0.7500 0.7500

Peak list (10 most intense, 10 to 80 degrees two-theta, in order of falling intensity)
2theta	Rel. int.
34.68	100
62.16	37
49.86	18
24.33	13
73.19	11
56.24	6
21.03	6
42.82	4
40.92	3
78.44	3